[1]
Diffraction record for Zn3Cr8FeS16. The PXRD pattern is simulated, not measured: it uses a crystal structure in Alexandria, relaxed with PBE and CuKα.
Neutral-atom scattering factors, no anomalous dispersion.

Principal peaks in the range 15 to 90 degrees two-theta, low angle first:
d = 3.545 Å, 2θ = 25.12°, I 39
d = 3.023 Å, 2θ = 29.55°, I 100
d = 2.507 Å, 2θ = 35.82°, I 42
d = 2.047 Å, 2θ = 44.26°, I 15
d = 1.930 Å, 2θ = 47.10°, I 49
d = 1.772 Å, 2θ = 51.56°, I 87
d = 1.529 Å, 2θ = 60.56°, I 12
d = 1.305 Å, 2θ = 72.40°, I 17
d = 1.253 Å, 2θ = 75.92°, I 12
d = 1.158 Å, 2θ = 83.50°, I 12

Cell and atoms:
abc: 12.276 12.276 12.276
angles: 33.58 33.58 33.58
Element x y z (fractional)
Zn: 0.000 0.000 0.000
Zn: 0.125 0.125 0.125
Zn: 0.500 0.500 0.500
Cr: 0.062 0.062 0.563
Cr: 0.062 0.563 0.062
Cr: 0.063 0.562 0.562
Cr: 0.313 0.313 0.313
Cr: 0.562 0.063 0.562
Cr: 0.562 0.562 0.063
Cr: 0.563 0.062 0.062
Cr: 0.812 0.812 0.812
Fe: 0.625 0.625 0.625
S: 0.161 0.703 0.703
S: 0.193 0.193 0.193
S: 0.203 0.203 0.662
S: 0.203 0.662 0.203
S: 0.425 0.425 0.959
S: 0.425 0.959 0.425
S: 0.432 0.432 0.432
S: 0.464 0.922 0.922
S: 0.662 0.203 0.203
S: 0.692 0.692 0.692
S: 0.703 0.161 0.703
S: 0.703 0.703 0.161
S: 0.922 0.464 0.922
S: 0.922 0.922 0.464
S: 0.932 0.932 0.932
S: 0.959 0.425 0.425

=====

[2]
Diffraction record for Hf3Nb2Hg2. The PXRD pattern is simulated, not measured: it uses a crystal structure in Alexandria, relaxed with PBE and CuKα.
Neutral-atom scattering factors, no anomalous dispersion.

Principal peaks in the range 15 to 90 degrees two-theta, low angle first:
d = 2.537 Å, 2θ = 35.38°, I 100
d = 2.477 Å, 2θ = 36.26°, I 94
d = 2.319 Å, 2θ = 38.84°, I 53
d = 2.208 Å, 2θ = 40.87°, I 35
d = 2.018 Å, 2θ = 44.91°, I 17
d = 1.599 Å, 2θ = 57.65°, I 34
d = 1.387 Å, 2θ = 67.53°, I 26
d = 1.330 Å, 2θ = 70.87°, I 13
d = 1.321 Å, 2θ = 71.42°, I 13
d = 1.298 Å, 2θ = 72.87°, I 25

Cell and atoms:
abc: 4.416 21.701 3.021
angles: 90.00 90.00 90.00
Element x y z (fractional)
Hf: 0.000 0.000 0.000
Hf: 0.000 0.149 0.000
Hf: 0.000 0.851 0.000
Hf: 0.500 0.351 0.000
Hf: 0.500 0.500 0.000
Hf: 0.500 0.649 0.000
Nb: 0.000 0.282 0.500
Nb: 0.000 0.718 0.500
Nb: 0.500 0.218 0.500
Nb: 0.500 0.782 0.500
Hg: 0.000 0.426 0.500
Hg: 0.000 0.574 0.500
Hg: 0.500 0.074 0.500
Hg: 0.500 0.926 0.500

=====

[3]
Diffraction record for TlGaHgPb. The PXRD pattern is simulated, not measured: it uses a crystal structure in Alexandria, relaxed with PBE and CuKα.
Neutral-atom scattering factors, no anomalous dispersion.

Principal peaks in the range 15 to 90 degrees two-theta, low angle first:
d = 3.467 Å, 2θ = 25.70°, I 29
d = 3.435 Å, 2θ = 25.94°, I 43
d = 2.811 Å, 2θ = 31.84°, I 98
d = 2.773 Å, 2θ = 32.29°, I 22
d = 2.552 Å, 2θ = 35.16°, I 100
d = 2.415 Å, 2θ = 37.24°, I 78
d = 2.341 Å, 2θ = 38.45°, I 19
d = 1.907 Å, 2θ = 47.70°, I 22
d = 1.496 Å, 2θ = 62.02°, I 36
d = 1.489 Å, 2θ = 62.37°, I 29

Cell and atoms:
abc: 3.510 3.814 8.505
angles: 90.00 102.04 90.00
Element x y z (fractional)
Tl: 0.000 0.000 0.000
Ga: 0.786 0.000 0.567
Hg: 0.381 0.500 0.756
Pb: 0.177 0.500 0.347